(1)
# KCePdSe3
Computed powder diffraction line list, CuKα. Input: a DFT-relaxed cell (PBE, Alexandria).
No peak broadening, texture or thermal motion is included.

Structural model:
```
data_KCePdSe3
_space_group_name_H-M_alt 'P 1'
_space_group_IT_number 1
_cell_length_a 8.9134
_cell_length_b 4.2673
_cell_length_c 9.6469
_cell_angle_alpha 90.00
_cell_angle_beta 107.19
_cell_angle_gamma 90.00
loop_
_space_group_symop_operation_xyz
'x,y,z'
loop_
_atom_site_label
_atom_site_fract_x
_atom_site_fract_y
_atom_site_fract_z
K1 0.2025 0.2500 0.2409
K2 0.7975 0.7500 0.7591
Ce1 0.3123 0.7500 0.8404
Ce2 0.6877 0.2500 0.1596
Pd1 0.0903 0.2500 0.5824
Pd2 0.9097 0.7500 0.4176
Se1 0.1119 0.2500 0.8652
Se2 0.2124 0.7500 0.5308
Se3 0.4611 0.7500 0.1564
Se4 0.5389 0.2500 0.8436
Se5 0.7876 0.2500 0.4692
Se6 0.8881 0.7500 0.1348
```

The 8 most intense peaks (10 to 80 degrees two-theta), most intense first:
| 2θ (°) | I_rel |
| --- | --- |
| 11.88 | 100 |
| 29.18 | 32 |
| 29.64 | 30 |
| 44.19 | 30 |
| 29.07 | 23 |
| 42.36 | 18 |
| 34.99 | 17 |
| 36.86 | 13 |

=====

(2)
# Al5Ag7
Computed powder diffraction line list, CuKα. Input: a DFT-relaxed cell (PBE, Alexandria).
No peak broadening, texture or thermal motion is included.

Structural model:
```
data_Al5Ag7
_space_group_name_H-M_alt 'P 1'
_space_group_IT_number 1
_cell_length_a 5.8465
_cell_length_b 5.8465
_cell_length_c 6.4178
_cell_angle_alpha 104.78
_cell_angle_beta 104.78
_cell_angle_gamma 89.78
loop_
_space_group_symop_operation_xyz
'x,y,z'
loop_
_atom_site_label
_atom_site_fract_x
_atom_site_fract_y
_atom_site_fract_z
Al1 0.0000 0.0000 0.0000
Al2 0.0000 0.5000 0.0000
Al3 0.1778 0.1778 0.6593
Al4 0.5000 0.0000 0.0000
Al5 0.8222 0.8222 0.3407
Ag1 0.1655 0.6851 0.6740
Ag2 0.3149 0.8345 0.3260
Ag3 0.3268 0.3268 0.3218
Ag4 0.5000 0.5000 0.0000
Ag5 0.6732 0.6732 0.6782
Ag6 0.6851 0.1655 0.6740
Ag7 0.8345 0.3149 0.3260
```

The 8 most intense peaks (10 to 80 degrees two-theta), most intense first:
| 2θ (°) | I_rel |
| --- | --- |
| 37.63 | 100 |
| 38.70 | 91 |
| 43.89 | 34 |
| 43.75 | 32 |
| 45.44 | 28 |
| 15.71 | 20 |
| 63.69 | 19 |
| 65.02 | 18 |